Record 1
Calculated X-ray powder pattern of Y5Ho12Er for Cu Kα X-rays, from a cell relaxed with GGA-PBE.

Structure:
```
Y5Ho12Er
1.0
7.497 -7.513 0.000
7.497 7.513 0.000
0.000 0.000 4.998
Y Ho Er
5 12 1
direct
0.000 0.000 0.000
0.167 0.833 0.500
0.334 0.666 0.000
0.666 0.334 0.000
0.833 0.167 0.500
0.001 0.335 0.000
0.166 0.499 0.500
0.168 0.168 0.500
0.333 0.333 0.000
0.335 0.001 0.000
0.499 0.166 0.500
0.501 0.834 0.500
0.665 0.999 0.000
0.667 0.667 0.000
0.832 0.832 0.500
0.834 0.501 0.500
0.999 0.665 0.000
0.500 0.500 0.500
```

The 6 most intense peaks (5° ≤ 2θ ≤ 70°), in order of falling intensity:
- 31.0 deg, I 100
- 35.9 deg, I 50
- 51.7 deg, I 36
- 61.5 deg, I 28
- 61.4 deg, I 14
- 64.5 deg, I 12

---

Record 2
Calculated X-ray powder pattern of Y4HoEr4 for Cu Kα X-rays, from a cell relaxed with GGA-PBE.

Structure:
```
Y4HoEr4
1.0
8.369 -2.746 0.000
8.369 2.746 0.000
-2.568 0.000 6.216
Y Ho Er
4 1 4
direct
0.135 0.135 0.473
0.279 0.279 0.203
0.721 0.721 0.797
0.865 0.865 0.527
0.500 0.500 0.500
0.072 0.072 0.887
0.366 0.366 0.801
0.634 0.634 0.199
0.928 0.928 0.113
```

The 6 most intense peaks (5° ≤ 2θ ≤ 70°), in order of falling intensity:
- 31.8 deg, I 100
- 31.0 deg, I 82
- 32.6 deg, I 51
- 32.1 deg, I 38
- 46.4 deg, I 28
- 57.7 deg, I 20

---

Record 3
Calculated X-ray powder pattern of Y3Ho6Er2 for Cu Kα X-rays, from a cell relaxed with GGA-PBE.

Structure:
```
Y3Ho6Er2
1.0
-2.354 2.354 16.465
2.354 -2.354 16.465
2.354 2.354 -16.465
Y Ho Er
3 6 2
direct
0.000 0.000 0.000
0.202 0.202 0.000
0.798 0.798 0.000
0.120 0.620 0.500
0.307 0.307 0.000
0.380 0.880 0.500
0.620 0.120 0.500
0.693 0.693 0.000
0.880 0.380 0.500
0.454 0.454 0.000
0.546 0.546 0.000
```

The 6 most intense peaks (5° ≤ 2θ ≤ 70°), in order of falling intensity:
- 28.9 deg, I 100
- 34.7 deg, I 95
- 38.2 deg, I 63
- 66.8 deg, I 28
- 51.1 deg, I 28
- 32.6 deg, I 24

---

Record 4
Calculated X-ray powder pattern of Y3Ho4Er4 for Cu Kα X-rays, from a cell relaxed with GGA-PBE.

Structure:
```
Y3Ho4Er4
1.0
10.445 0.000 0.000
0.000 2.804 5.985
0.000 -2.804 5.985
Y Ho Er
3 4 4
direct
0.000 0.000 0.000
0.295 0.154 0.154
0.705 0.154 0.154
0.000 0.704 0.704
0.210 0.500 0.500
0.500 0.637 0.637
0.790 0.500 0.500
0.000 0.298 0.298
0.294 0.848 0.848
0.500 0.366 0.366
0.706 0.848 0.848
```

The 6 most intense peaks (5° ≤ 2θ ≤ 70°), in order of falling intensity:
- 32.4 deg, I 100
- 31.1 deg, I 45
- 31.9 deg, I 38
- 57.2 deg, I 20
- 34.3 deg, I 16
- 62.8 deg, I 14

---

Record 5
Calculated X-ray powder pattern of Y3Ho7Er2 for Cu Kα X-rays, from a cell relaxed with GGA-PBE.

Structure:
```
Y3Ho7Er2
1.0
5.749 0.000 0.000
0.000 3.560 0.000
-1.108 0.000 18.503
Y Ho Er
3 7 2
direct
0.000 0.000 0.000
0.281 0.500 0.633
0.719 0.500 0.367
0.185 0.500 0.144
0.242 0.000 0.463
0.313 0.000 0.821
0.500 0.500 0.000
0.687 0.000 0.179
0.758 0.000 0.537
0.815 0.500 0.856
0.207 0.000 0.294
0.793 0.000 0.706
```

The 6 most intense peaks (5° ≤ 2θ ≤ 70°), in order of falling intensity:
- 31.4 deg, I 100
- 31.2 deg, I 66
- 32.1 deg, I 55
- 34.9 deg, I 40
- 29.0 deg, I 34
- 30.8 deg, I 31

---

Record 6
Calculated X-ray powder pattern of Y3HoEr for Cu Kα X-rays, from a cell relaxed with GGA-PBE.

Structure:
```
Y3HoEr
1.0
6.287 0.000 0.000
0.000 5.619 0.000
-3.143 0.000 9.074
Y Ho Er
6 2 2
direct
0.136 0.250 0.100
0.265 0.750 0.701
0.333 0.250 0.501
0.667 0.750 0.499
0.735 0.250 0.299
0.864 0.750 0.900
0.069 0.750 0.299
0.931 0.250 0.701
0.468 0.750 0.100
0.532 0.250 0.900
```

The 6 most intense peaks (5° ≤ 2θ ≤ 70°), in order of falling intensity:
- 32.6 deg, I 100
- 28.4 deg, I 24
- 31.9 deg, I 24
- 60.8 deg, I 22
- 57.3 deg, I 20
- 50.3 deg, I 20

---

Record 7
Calculated X-ray powder pattern of YHo4Er6 for Cu Kα X-rays, from a cell relaxed with GGA-PBE.

Structure:
```
YHo4Er6
1.0
2.797 -4.809 0.000
2.797 4.809 0.000
0.000 0.000 25.463
Y Ho Er
2 8 12
direct
0.173 0.827 0.750
0.827 0.173 0.250
0.164 0.836 0.042
0.164 0.836 0.458
0.493 0.507 0.121
0.493 0.507 0.379
0.507 0.493 0.621
0.507 0.493 0.879
0.836 0.164 0.542
0.836 0.164 0.958
0.160 0.840 0.181
0.160 0.840 0.319
0.173 0.827 0.604
0.173 0.827 0.896
0.494 0.506 0.250
0.500 0.500 0.000
0.500 0.500 0.500
0.506 0.494 0.750
0.827 0.173 0.104
0.827 0.173 0.396
0.840 0.160 0.681
0.840 0.160 0.819
```

The 6 most intense peaks (5° ≤ 2θ ≤ 70°), in order of falling intensity:
- 32.2 deg, I 100
- 30.8 deg, I 95
- 33.7 deg, I 52
- 32.0 deg, I 51
- 45.0 deg, I 24
- 57.2 deg, I 20

---

Record 8
Calculated X-ray powder pattern of Y2Ho3Er for Cu Kα X-rays, from a cell relaxed with GGA-PBE.

Structure:
```
Y2Ho3Er
1.0
8.499 -3.338 0.000
8.499 3.338 0.000
-1.050 0.000 6.708
Y Ho Er
4 6 2
direct
0.113 0.241 0.138
0.241 0.113 0.638
0.759 0.887 0.362
0.887 0.759 0.862
0.247 0.753 0.250
0.298 0.408 0.475
0.408 0.298 0.975
0.592 0.702 0.025
0.702 0.592 0.525
0.753 0.247 0.750
0.237 0.763 0.750
0.763 0.237 0.250
```

The 6 most intense peaks (5° ≤ 2θ ≤ 70°), in order of falling intensity:
- 31.5 deg, I 100
- 28.8 deg, I 85
- 34.3 deg, I 83
- 32.0 deg, I 79
- 30.2 deg, I 68
- 31.0 deg, I 55

---

Record 9
Calculated X-ray powder pattern of Y4Ho2Er7 for Cu Kα X-rays, from a cell relaxed with GGA-PBE.

Structure:
```
Y4Ho2Er7
1.0
6.029 0.000 0.000
-3.014 5.221 0.000
0.000 0.000 13.189
Y Ho Er
4 2 7
direct
0.000 0.000 0.107
0.000 0.000 0.893
0.333 0.667 0.000
0.667 0.333 0.000
0.333 0.667 0.500
0.667 0.333 0.500
0.000 0.000 0.500
0.000 0.355 0.714
0.000 0.645 0.286
0.355 0.000 0.714
0.355 0.355 0.286
0.645 0.000 0.286
0.645 0.645 0.714
```

The 6 most intense peaks (5° ≤ 2θ ≤ 70°), in order of falling intensity:
- 32.7 deg, I 100
- 6.7 deg, I 58
- 30.4 deg, I 56
- 36.1 deg, I 47
- 52.6 deg, I 29
- 27.0 deg, I 23

---

Record 10
Calculated X-ray powder pattern of Y3Ho9Er2 for Cu Kα X-rays, from a cell relaxed with GGA-PBE.

Structure:
```
Y3Ho9Er2
1.0
6.206 0.000 0.000
0.316 8.619 0.000
1.929 1.442 8.377
Y Ho Er
3 9 2
direct
0.000 0.000 0.000
0.247 0.377 0.273
0.753 0.623 0.727
0.000 0.000 0.500
0.092 0.312 0.697
0.197 0.613 0.899
0.345 0.668 0.495
0.495 0.242 0.916
0.505 0.758 0.084
0.655 0.332 0.505
0.803 0.387 0.101
0.908 0.688 0.303
0.448 0.967 0.699
0.552 0.033 0.301
```

The 6 most intense peaks (5° ≤ 2θ ≤ 70°), in order of falling intensity:
- 31.6 deg, I 100
- 32.2 deg, I 37
- 35.0 deg, I 28
- 33.3 deg, I 23
- 31.4 deg, I 20
- 33.7 deg, I 19

---

Record 11
Calculated X-ray powder pattern of Y12Ho2Er for Cu Kα X-rays, from a cell relaxed with GGA-PBE.

Structure:
```
Y12Ho2Er
1.0
6.416 0.000 0.000
0.000 6.416 0.000
0.000 0.000 25.073
Y Ho Er
24 4 2
direct
0.066 0.566 0.115
0.066 0.934 0.885
0.081 0.581 0.439
0.081 0.919 0.561
0.250 0.250 0.215
0.250 0.250 0.339
0.250 0.250 0.661
0.250 0.250 0.785
0.419 0.581 0.561
0.419 0.919 0.439
0.434 0.566 0.885
0.434 0.934 0.115
0.566 0.066 0.885
0.566 0.434 0.115
0.581 0.081 0.561
0.581 0.419 0.439
0.750 0.750 0.215
0.750 0.750 0.339
0.750 0.750 0.661
0.750 0.750 0.785
0.919 0.081 0.439
0.919 0.419 0.561
0.934 0.066 0.115
0.934 0.434 0.885
0.250 0.750 0.274
0.250 0.750 0.726
0.750 0.250 0.274
0.750 0.250 0.726
0.250 0.750 0.000
0.750 0.250 0.000
```

The 6 most intense peaks (5° ≤ 2θ ≤ 70°), in order of falling intensity:
- 31.8 deg, I 100
- 31.3 deg, I 84
- 29.8 deg, I 57
- 28.7 deg, I 56
- 33.0 deg, I 51
- 39.7 deg, I 47

---

Record 12
Calculated X-ray powder pattern of Y6HoEr4 for Cu Kα X-rays, from a cell relaxed with GGA-PBE.

Structure:
```
Y6HoEr4
1.0
6.136 0.000 0.000
-1.023 6.057 0.000
-1.027 -0.174 9.315
Y Ho Er
6 1 4
direct
0.000 0.000 0.000
0.088 0.184 0.362
0.182 0.365 0.726
0.363 0.730 0.452
0.725 0.454 0.909
0.906 0.818 0.635
0.273 0.548 0.090
0.453 0.910 0.818
0.544 0.092 0.181
0.634 0.273 0.544
0.815 0.636 0.271
```

The 6 most intense peaks (5° ≤ 2θ ≤ 70°), in order of falling intensity:
- 30.9 deg, I 100
- 35.8 deg, I 50
- 61.4 deg, I 35
- 51.6 deg, I 18
- 51.6 deg, I 18
- 64.4 deg, I 12